Record 1
Structure and calculated powder XRD pattern of Pm4Y3Bi4 (a PBE-relaxed structure; Cu Kα (λ = 1.5418 Å)).
No peak broadening, texture or thermal motion is included.

Top 6 peaks for 2θ = 5–70°, in order of falling intensity:
two_theta  I/Imax  (hkl)
30.83  100.0  1 1 4
32.25  88.8  0 3 3
29.48  87.5  1 2 1
37.64  77.4  1 3 2
32.78  69.0  1 0 5
35.02  60.6  0 2 6

Structure:
```
data_Pm4Y3Bi4
_cell_length_a 4.0797
_cell_length_b 9.3386
_cell_length_c 18.3905
_cell_angle_alpha 90.00
_cell_angle_beta 90.00
_cell_angle_gamma 90.00
_symmetry_space_group_name_H-M 'I m m m'
_symmetry_Int_Tables_number 71
_symmetry_space_group_name_Hall '-I 2 2'
loop_
_atom_site_label
_atom_site_type_symbol
_atom_site_fract_x
_atom_site_fract_y
_atom_site_fract_z
_atom_site_occupancy
Pm1 Pm 0.0000 0.1766 0.1661 1
Y1 Y 0.0000 0.0000 0.4032 1
Y2 Y 0.0000 0.5000 0.5000 1
Bi1 Bi 0.0000 0.2903 0.0000 1
Bi2 Bi 0.0000 0.5000 0.2286 1
```

Record 2
Structure and calculated powder XRD pattern of CuPd4Rh (a PBE-relaxed structure; Cu Kα (λ = 1.5418 Å)).
No peak broadening, texture or thermal motion is included.

Top 6 peaks for 2θ = 5–70°, in order of falling intensity:
two_theta  I/Imax  (hkl)
40.26  100.0  0 6 2
40.11  78.0  1 1 2
43.97  37.0  0 0 4
43.64  30.1  1 5 0
63.68  17.3  1 5 4
52.23  17.1  1 7 0

Structure:
```
data_CuPd4Rh
_cell_length_a 2.7217
_cell_length_b 16.0162
_cell_length_c 8.2374
_cell_angle_alpha 90.00
_cell_angle_beta 90.00
_cell_angle_gamma 90.00
_symmetry_space_group_name_H-M 'C m c m'
_symmetry_Int_Tables_number 63
_symmetry_space_group_name_Hall '-C 2c 2'
loop_
_atom_site_label
_atom_site_type_symbol
_atom_site_fract_x
_atom_site_fract_y
_atom_site_fract_z
_atom_site_occupancy
Cu1 Cu 0.0000 0.0751 0.2500 1
Pd1 Pd 0.0000 0.0930 0.7500 1
Pd2 Pd 0.0000 0.3341 0.5219 1
Pd3 Pd 0.0000 0.5000 0.0000 1
Rh1 Rh 0.0000 0.2488 0.2500 1
```